Entry 1:
Structure and theoretical X-ray diffraction stick pattern of Ce3Nd2Tl4 (a DFT-relaxed cell (GGA-PBE, Alexandria); Cu Kα, 1.54184 Å).
Neutral-atom scattering factors, no anomalous dispersion.

Atomic structure:
Cell: 5.4612 5.4773 10.2147 Å, 88.97 88.76 60.50°
Space group P-1 (No. 2)
Unique sites:
1 Ce 0.0000 0.0000 0.0000 [1 per cell]
2 Ce 0.3677 0.3695 0.5597 [2 per cell]
3 Nd 0.3205 0.3187 0.2235 [2 per cell]
4 Tl 0.0272 0.0289 0.6559 [2 per cell]
5 Tl 0.3403 0.3417 0.8919 [2 per cell]

Most intense lines, 5 to 70 degrees two-theta, low angle first:
32.12 deg, 2.787 Å, I = 60, hkl 1 0 3; 32.18 deg, 2.781 Å, I = 59, hkl 0 1 3; 32.50 deg, 2.755 Å, I = 59, hkl 1 -1 0; 32.75 deg, 2.735 Å, I = 100, hkl 1 1 -3; 32.81 deg, 2.730 Å, I = 48, hkl 2 1 0; 57.68 deg, 1.598 Å, I = 40, hkl 2 -1 3

Entry 2:
Structure and theoretical X-ray diffraction stick pattern of CuOsCl2 (a DFT-relaxed cell (GGA-PBE, Alexandria); Cu Kα, 1.54184 Å).
Neutral-atom scattering factors, no anomalous dispersion.

Atomic structure:
Cell: 3.1873 3.1873 25.0716 Å, 90.00 90.00 120.00°
Space group R3m (No. 160, hexagonal axes)
Unique sites:
1 Cu 0.0000 0.0000 0.0000 [3 per cell]
2 Os 0.0000 0.0000 0.7402 [3 per cell]
3 Cl 0.0000 0.0000 0.2738 [3 per cell]
4 Cl 0.0000 0.0000 0.4693 [3 per cell]

Most intense lines, 5 to 70 degrees two-theta, low angle first:
10.59 deg, 8.357 Å, I = 100, hkl 0 0 3; 32.64 deg, 2.744 Å, I = 13, hkl 1 0 1; 35.54 deg, 2.526 Å, I = 46, hkl 1 0 4; 41.29 deg, 2.186 Å, I = 20, hkl 1 0 7; 43.70 deg, 2.071 Å, I = 19, hkl 0 1 8; 52.03 deg, 1.758 Å, I = 14, hkl 0 1 11

Entry 3:
Structure and theoretical X-ray diffraction stick pattern of SrAlSiIr (a DFT-relaxed cell (GGA-PBE, Alexandria); Cu Kα, 1.54184 Å).
Neutral-atom scattering factors, no anomalous dispersion.

Atomic structure:
Cell: 4.2889 4.2889 16.7764 Å, 90.00 90.00 120.00°
Space group R3m (No. 160, hexagonal axes)
Unique sites:
1 Sr 0.0000 0.0000 0.0000 [3 per cell]
2 Al 0.0000 0.0000 0.5298 [3 per cell]
3 Si 0.0000 0.0000 0.8089 [3 per cell]
4 Ir 0.0000 0.0000 0.1807 [3 per cell]

Most intense lines, 5 to 70 degrees two-theta, low angle first:
15.85 deg, 5.592 Å, I = 52, hkl 0 0 3; 24.55 deg, 3.626 Å, I = 100, hkl 1 0 1; 26.24 deg, 3.396 Å, I = 38, hkl 0 1 2; 36.07 deg, 2.490 Å, I = 71, hkl 0 1 5; 42.14 deg, 2.144 Å, I = 63, hkl 1 1 0; 53.88 deg, 1.702 Å, I = 49, hkl 1 1 6

Entry 4:
Structure and theoretical X-ray diffraction stick pattern of DyGe3Rh (a DFT-relaxed cell (GGA-PBE, Alexandria); Cu Kα, 1.54184 Å).
Neutral-atom scattering factors, no anomalous dispersion.

Atomic structure:
Cell: 5.9768 5.6159 5.8209 Å, 90.00 90.00 90.00°
Space group Pmn2_1 (No. 31)
Unique sites:
1 Dy 0.0000 0.1487 0.0000 [2 per cell]
2 Ge 0.0000 0.9043 0.5678 [2 per cell]
3 Ge 0.2354 0.3161 0.4555 [4 per cell]
4 Rh 0.0000 0.6195 0.2644 [2 per cell]

Most intense lines, 5 to 70 degrees two-theta, low angle first:
26.63 deg, 3.348 Å, I = 33, hkl 1 1 1; 30.72 deg, 2.910 Å, I = 24, hkl 0 0 2; 35.50 deg, 2.529 Å, I = 63, hkl 0 2 1; 37.43 deg, 2.403 Å, I = 100, hkl 2 1 1; 37.93 deg, 2.372 Å, I = 32, hkl 1 1 2; 46.46 deg, 1.955 Å, I = 37, hkl 2 1 2

Entry 5:
Structure and theoretical X-ray diffraction stick pattern of PmY2H8 (a DFT-relaxed cell (GGA-PBE, Alexandria); Cu Kα, 1.54184 Å).
Neutral-atom scattering factors, no anomalous dispersion.

Atomic structure:
Cell: 3.6837 5.2446 11.0628 Å, 90.00 90.00 90.00°
Space group Immm (No. 71)
Unique sites:
1 Pm 0.0000 0.0000 0.0000 [2 per cell]
2 Y 0.0000 0.0000 0.3307 [4 per cell]
3 H 0.0000 0.2191 0.5000 [4 per cell]
4 H 0.0000 0.2651 0.1644 [8 per cell]
5 H 0.0000 0.5000 0.3439 [4 per cell]

Most intense lines, 5 to 70 degrees two-theta, low angle first:
29.62 deg, 3.015 Å, I = 100, hkl 1 1 0; 34.19 deg, 2.622 Å, I = 17, hkl 0 2 0; 34.41 deg, 2.606 Å, I = 33, hkl 1 0 3; 49.30 deg, 1.848 Å, I = 25, hkl 1 2 3; 58.43 deg, 1.580 Å, I = 14, hkl 1 3 0; 58.72 deg, 1.572 Å, I = 28, hkl 2 1 3

Entry 6:
Structure and theoretical X-ray diffraction stick pattern of TbPrAu4 (a DFT-relaxed cell (GGA-PBE, Alexandria); Cu Kα, 1.54184 Å).
Neutral-atom scattering factors, no anomalous dispersion.

Atomic structure:
Cell: 3.8220 3.8220 9.2413 Å, 90.00 90.00 90.00°
Space group P4/mmm (No. 123)
Unique sites:
1 Tb 0.0000 0.0000 0.0000 [1 per cell]
2 Pr 0.5000 0.5000 0.5000 [1 per cell]
3 Au 0.0000 0.0000 0.3269 [2 per cell]
4 Au 0.5000 0.5000 0.1600 [2 per cell]

Most intense lines, 5 to 70 degrees two-theta, low angle first:
33.15 deg, 2.703 Å, I = 70, hkl 1 1 0; 37.50 deg, 2.398 Å, I = 100, hkl 1 0 3; 47.58 deg, 1.911 Å, I = 26, hkl 2 0 0; 60.07 deg, 1.540 Å, I = 6, hkl 0 0 6; 62.10 deg, 1.495 Å, I = 46, hkl 2 1 3; 69.57 deg, 1.351 Å, I = 8, hkl 2 2 0

Entry 7:
Structure and theoretical X-ray diffraction stick pattern of Nd2Co3Ge5 (a DFT-relaxed cell (GGA-PBE, Alexandria); Cu Kα, 1.54184 Å).
Neutral-atom scattering factors, no anomalous dispersion.

Atomic structure:
Cell: 9.8131 11.8447 5.8917 Å, 90.00 90.00 90.00°
Space group Ibam (No. 72)
Unique sites:
1 Nd 0.2360 0.1347 0.0000 [8 per cell]
2 Co 0.0000 0.5000 0.2500 [4 per cell]
3 Co 0.1073 0.1372 0.5000 [8 per cell]
4 Ge 0.0000 0.0000 0.2500 [4 per cell]
5 Ge 0.0000 0.2683 0.2500 [8 per cell]
6 Ge 0.1590 0.4032 0.0000 [8 per cell]

Most intense lines, 5 to 70 degrees two-theta, low angle first:
34.84 deg, 2.575 Å, I = 91, hkl 3 2 1; 35.41 deg, 2.535 Å, I = 85, hkl 2 4 0; 35.55 deg, 2.525 Å, I = 100, hkl 2 0 2; 43.33 deg, 2.088 Å, I = 91, hkl 0 4 2; 51.44 deg, 1.776 Å, I = 32, hkl 5 2 1; 56.85 deg, 1.620 Å, I = 22, hkl 3 2 3

Entry 8:
Structure and theoretical X-ray diffraction stick pattern of Mg2Ni2H5 (a DFT-relaxed cell (GGA-PBE, Alexandria); Cu Kα, 1.54184 Å).
Neutral-atom scattering factors, no anomalous dispersion.

Atomic structure:
Cell: 3.2557 3.2557 6.8267 Å, 90.00 90.00 90.00°
Space group P4/mmm (No. 123)
Unique sites:
1 Mg 0.0000 0.0000 0.0000 [1 per cell]
2 Mg 0.0000 0.0000 0.5000 [1 per cell]
3 Ni 0.5000 0.5000 0.2414 [2 per cell]
4 H 0.0000 0.5000 0.2842 [4 per cell]
5 H 0.5000 0.5000 0.0000 [1 per cell]

Most intense lines, 5 to 70 degrees two-theta, low angle first:
26.11 deg, 3.413 Å, I = 15, hkl 0 0 2; 27.39 deg, 3.256 Å, I = 25, hkl 1 0 0; 38.20 deg, 2.356 Å, I = 100, hkl 1 0 2; 39.13 deg, 2.302 Å, I = 46, hkl 1 1 0; 56.53 deg, 1.628 Å, I = 16, hkl 2 0 0; 68.43 deg, 1.371 Å, I = 16, hkl 1 1 4

Entry 9:
Structure and theoretical X-ray diffraction stick pattern of Pr6Pb2N (a DFT-relaxed cell (GGA-PBE, Alexandria); Cu Kα, 1.54184 Å).
Neutral-atom scattering factors, no anomalous dispersion.

Atomic structure:
Cell: 10.2252 10.2252 10.2252 Å, 90.00 90.00 90.00°
Space group Fm-3m (No. 225)
Unique sites:
1 Pr 0.0000 0.0000 0.2445 [24 per cell]
2 Pb 0.2500 0.2500 0.2500 [8 per cell]
3 N 0.0000 0.0000 0.0000 [4 per cell]

Most intense lines, 5 to 70 degrees two-theta, low angle first:
24.63 deg, 3.615 Å, I = 3, hkl 2 2 0; 30.28 deg, 2.952 Å, I = 100, hkl 2 2 2; 35.10 deg, 2.556 Å, I = 53, hkl 4 0 0; 50.49 deg, 1.808 Å, I = 38, hkl 4 4 0; 60.01 deg, 1.542 Å, I = 43, hkl 6 2 2; 62.98 deg, 1.476 Å, I = 13, hkl 4 4 4

Entry 10:
Structure and theoretical X-ray diffraction stick pattern of CaTb3Pd4 (a DFT-relaxed cell (GGA-PBE, Alexandria); Cu Kα, 1.54184 Å).
Neutral-atom scattering factors, no anomalous dispersion.

Atomic structure:
Cell: 7.0379 7.0379 7.0379 Å, 90.00 90.00 90.00°
Space group Im-3m (No. 229)
Unique sites:
1 Ca 0.0000 0.0000 0.0000 [2 per cell]
2 Tb 0.0000 0.0000 0.5000 [6 per cell]
3 Pd 0.2500 0.2500 0.2500 [8 per cell]

Most intense lines, 5 to 70 degrees two-theta, low angle first:
17.82 deg, 4.977 Å, I = 8, hkl 1 1 0; 31.13 deg, 2.873 Å, I = 4, hkl 2 1 1; 36.10 deg, 2.488 Å, I = 100, hkl 2 2 0; 48.39 deg, 1.881 Å, I = 3, hkl 3 2 1; 51.97 deg, 1.759 Å, I = 17, hkl 4 0 0; 64.91 deg, 1.437 Å, I = 35, hkl 4 2 2